Li4PaPt2: calculated powder diffraction line list (Cu Kα), based on a DFT-relaxed cell (PBE, Alexandria).

Top 8 peaks for 10° ≤ 2θ ≤ 90°, by angle:
Position (°2θ), I (rel.), h k l
16.08, 100, 1 1 0
25.56, 60, 2 1 0
27.89, 65, 1 1 1
32.50, 35, 2 2 0
34.40, 91, 2 1 1
41.68, 84, 3 0 1
49.63, 24, 3 3 0
69.18, 21, 5 2 1

Atomic structure:
Cell lengths 7.793, 7.793, 3.928 Å; angles 90.00, 90.00, 90.00 degrees
Positions (direct):
1 Li 0.103 0.353 0.000
2 Li 0.147 0.603 0.500
3 Li 0.353 0.103 0.000
4 Li 0.397 0.853 0.500
5 Li 0.603 0.147 0.500
6 Li 0.647 0.897 0.000
7 Li 0.853 0.397 0.500
8 Li 0.897 0.647 0.000
9 Pa 0.000 0.000 0.500
10 Pa 0.500 0.500 0.000
11 Pt 0.181 0.819 0.000
12 Pt 0.319 0.319 0.500
13 Pt 0.681 0.681 0.500
14 Pt 0.819 0.181 0.000

=====

Ce6PuPa2: calculated powder diffraction line list (Cu Kα), based on a DFT-relaxed cell (PBE, Alexandria).

Top 8 peaks for 10° ≤ 2θ ≤ 90°, by angle:
Position (°2θ), I (rel.), h k l
10.36, 29, 0 0 3
31.44, 72, 0 0 9
32.06, 52, 1 0 0
35.07, 95, 1 0 4
36.66, 100, 1 0 5
45.52, 39, 1 0 9
57.17, 59, 1 1 0
66.69, 51, 1 1 9

Atomic structure:
Cell lengths 3.224, 3.224, 25.605 Å; angles 90.00, 90.00, 120.00 degrees
Positions (direct):
1 Ce 0.000 0.000 0.057
2 Ce 0.000 0.000 0.279
3 Ce 0.000 0.000 0.721
4 Ce 0.000 0.000 0.943
5 Ce 0.333 0.667 0.392
6 Ce 0.333 0.667 0.608
7 Pu 0.000 0.000 0.500
8 Pa 0.333 0.667 0.168
9 Pa 0.333 0.667 0.832

=====

Fe9Se8: calculated powder diffraction line list (Cu Kα), based on a DFT-relaxed cell (PBE, Alexandria).

Top 8 peaks for 10° ≤ 2θ ≤ 90°, by angle:
Position (°2θ), I (rel.), h k l
15.03, 50, 0 0 1
29.12, 100, 2 0 1
38.61, 52, 2 2 1
46.21, 14, 0 0 3
47.26, 98, 2 2 2
50.86, 42, 4 0 0
59.68, 25, 4 2 1
71.14, 15, 4 0 3

Atomic structure:
Cell lengths 7.181, 7.181, 5.894 Å; angles 90.00, 90.00, 90.00 degrees
Positions (direct):
1 Fe 0.000 0.000 0.000
2 Fe 0.000 0.251 0.712
3 Fe 0.000 0.749 0.712
4 Fe 0.248 0.500 0.717
5 Fe 0.251 0.000 0.712
6 Fe 0.500 0.248 0.717
7 Fe 0.500 0.752 0.717
8 Fe 0.749 0.000 0.712
9 Fe 0.752 0.500 0.717
10 Se 0.000 0.000 0.431
11 Se 0.000 0.500 0.440
12 Se 0.255 0.255 0.997
13 Se 0.255 0.745 0.997
14 Se 0.500 0.000 0.440
15 Se 0.500 0.500 0.450
16 Se 0.745 0.255 0.997
17 Se 0.745 0.745 0.997

=====

Nb2Ni4Rh: calculated powder diffraction line list (Cu Kα), based on a DFT-relaxed cell (PBE, Alexandria).

Top 8 peaks for 10° ≤ 2θ ≤ 90°, by angle:
Position (°2θ), I (rel.), h k l
36.84, 76, 2 1 1
40.96, 100, 1 1 2
41.08, 88, 2 2 0
46.08, 50, 2 0 2
47.37, 68, 3 0 1
59.43, 43, 4 0 0
74.76, 36, 3 3 2
89.05, 32, 5 1 2

Atomic structure:
Cell lengths 6.215, 6.215, 5.094 Å; angles 90.00, 90.00, 90.00 degrees
Positions (direct):
1 Nb 0.000 0.500 0.000
2 Nb 0.000 0.500 0.500
3 Nb 0.500 0.000 0.000
4 Nb 0.500 0.000 0.500
5 Ni 0.191 0.191 0.250
6 Ni 0.191 0.809 0.250
7 Ni 0.309 0.309 0.750
8 Ni 0.309 0.691 0.750
9 Ni 0.691 0.309 0.750
10 Ni 0.691 0.691 0.750
11 Ni 0.809 0.191 0.250
12 Ni 0.809 0.809 0.250
13 Rh 0.000 0.000 0.749
14 Rh 0.500 0.500 0.249